Starting from a crystal structure in OQMD, relaxed with PBE, the powder diffractogram of Sc3AuO was computed for λ = 1.5418 Å (Cu Kα).
Intensities are scaled so that the largest is 100.

Atomic structure:
```
data_Sc3AuO
_chemical_formula_sum 'Sc6 Au2 O2'
_symmetry_space_group_name_H-M 'P 1'
_symmetry_Int_Tables_number 1
_symmetry_space_group_name_Hall 'P 1'
_cell_length_a 6.218
_cell_length_b 6.218
_cell_length_c 6.141
_cell_angle_alpha 119.59
_cell_angle_beta 119.59
_cell_angle_gamma 59.19
loop_
_atom_site_label
_atom_site_type_symbol
_atom_site_fract_x
_atom_site_fract_y
_atom_site_fract_z
Sc1 Sc 0.201 0.303 0.201
Sc2 Sc 0.245 0.755 0.750
Sc3 Sc 0.303 0.201 0.701
Sc4 Sc 0.697 0.799 0.299
Sc5 Sc 0.755 0.245 0.250
Sc6 Sc 0.799 0.697 0.799
Au1 Au 0.249 0.751 0.250
Au2 Au 0.751 0.249 0.750
O1 O 0.000 0.500 0.500
O2 O 0.500 0.000 0.000
```

The 10 most intense peaks (10° ≤ 2θ ≤ 90°), sorted by position:
| d (Å) | intensity |
| --- | --- |
| 4.451 | 20 |
| 4.343 | 44 |
| 3.108 | 50 |
| 3.071 | 33 |
| 2.527 | 100 |
| 2.225 | 23 |
| 2.171 | 36 |
| 1.780 | 30 |
| 1.554 | 24 |
| 1.312 | 18 |

=====

Starting from a crystal structure in OQMD, relaxed with PBE, the powder diffractogram of CuF2 was computed for λ = 1.5418 Å (Cu Kα).
Intensities are scaled so that the largest is 100.

Atomic structure:
```
data_CuF2
_chemical_formula_sum 'Cu4 F8'
_symmetry_space_group_name_H-M 'P 1'
_symmetry_Int_Tables_number 1
_symmetry_space_group_name_Hall 'P 1'
_cell_length_a 4.557
_cell_length_b 5.519
_cell_length_c 5.108
_cell_angle_alpha 90.00
_cell_angle_beta 90.00
_cell_angle_gamma 90.00
loop_
_atom_site_label
_atom_site_type_symbol
_atom_site_fract_x
_atom_site_fract_y
_atom_site_fract_z
Cu1 Cu 0.000 0.149 0.250
Cu2 Cu 0.000 0.851 0.750
Cu3 Cu 0.500 0.351 0.750
Cu4 Cu 0.500 0.649 0.250
F1 F 0.242 0.112 0.595
F2 F 0.242 0.888 0.095
F3 F 0.258 0.388 0.095
F4 F 0.258 0.612 0.595
F5 F 0.742 0.388 0.405
F6 F 0.742 0.612 0.905
F7 F 0.758 0.112 0.905
F8 F 0.758 0.888 0.405
```

The 10 most intense peaks (10° ≤ 2θ ≤ 90°), sorted by position:
| d (Å) | intensity |
| --- | --- |
| 3.514 | 49 |
| 2.895 | 100 |
| 2.554 | 17 |
| 2.428 | 20 |
| 2.066 | 20 |
| 1.706 | 14 |
| 1.700 | 21 |
| 1.661 | 43 |
| 1.532 | 14 |
| 1.449 | 18 |

=====

Starting from a crystal structure in OQMD, relaxed with PBE, the powder diffractogram of Sm3Si2Cl5O6 was computed for λ = 1.5418 Å (Cu Kα).
Intensities are scaled so that the largest is 100.

Atomic structure:
```
data_Sm3Si2Cl5O6
_chemical_formula_sum 'Sm6 Si4 Cl10 O12'
_symmetry_space_group_name_H-M 'P 1'
_symmetry_Int_Tables_number 1
_symmetry_space_group_name_Hall 'P 1'
_cell_length_a 7.500
_cell_length_b 7.500
_cell_length_c 11.852
_cell_angle_alpha 99.39
_cell_angle_beta 99.39
_cell_angle_gamma 88.99
loop_
_atom_site_label
_atom_site_type_symbol
_atom_site_fract_x
_atom_site_fract_y
_atom_site_fract_z
Sm1 Sm 0.000 0.500 0.500
Sm2 Sm 0.083 0.586 0.833
Sm3 Sm 0.414 0.917 0.167
Sm4 Sm 0.500 0.000 0.500
Sm5 Sm 0.586 0.083 0.833
Sm6 Sm 0.917 0.414 0.167
Si1 Si 0.109 0.818 0.356
Si2 Si 0.182 0.891 0.644
Si3 Si 0.818 0.109 0.356
Si4 Si 0.891 0.182 0.644
Cl1 Cl 0.106 0.682 0.079
Cl2 Cl 0.233 0.233 0.167
Cl3 Cl 0.318 0.894 0.921
Cl4 Cl 0.320 0.320 0.504
Cl5 Cl 0.385 0.385 0.861
Cl6 Cl 0.615 0.615 0.139
Cl7 Cl 0.680 0.680 0.496
Cl8 Cl 0.682 0.106 0.079
Cl9 Cl 0.767 0.767 0.833
Cl10 Cl 0.894 0.318 0.921
O1 O 0.043 0.609 0.327
O2 O 0.047 0.047 0.691
O3 O 0.132 0.696 0.673
O4 O 0.145 0.855 0.500
O5 O 0.304 0.868 0.327
O6 O 0.391 0.957 0.673
O7 O 0.609 0.043 0.327
O8 O 0.696 0.132 0.673
O9 O 0.855 0.145 0.500
O10 O 0.868 0.304 0.327
O11 O 0.953 0.953 0.309
O12 O 0.957 0.391 0.673
```

The 10 most intense peaks (10° ≤ 2θ ≤ 90°), sorted by position:
| d (Å) | intensity |
| --- | --- |
| 5.256 | 100 |
| 5.212 | 53 |
| 3.846 | 39 |
| 3.701 | 42 |
| 3.495 | 35 |
| 2.807 | 38 |
| 2.675 | 25 |
| 2.628 | 29 |
| 2.476 | 29 |
| 2.347 | 34 |

=====

Starting from a crystal structure in OQMD, relaxed with PBE, the powder diffractogram of AgHgAsO3 was computed for λ = 1.5418 Å (Cu Kα).
Intensities are scaled so that the largest is 100.

Atomic structure:
```
data_AgHgAsO3
_chemical_formula_sum 'Ag2 Hg2 As2 O6'
_symmetry_space_group_name_H-M 'P 1'
_symmetry_Int_Tables_number 1
_symmetry_space_group_name_Hall 'P 1'
_cell_length_a 5.895
_cell_length_b 5.895
_cell_length_c 6.730
_cell_angle_alpha 99.28
_cell_angle_beta 99.28
_cell_angle_gamma 122.61
loop_
_atom_site_label
_atom_site_type_symbol
_atom_site_fract_x
_atom_site_fract_y
_atom_site_fract_z
Ag1 Ag 0.033 0.967 0.500
Ag2 Ag 0.967 0.033 0.000
Hg1 Hg 0.293 0.648 0.944
Hg2 Hg 0.648 0.293 0.444
As1 As 0.313 0.612 0.442
As2 As 0.612 0.313 0.942
O1 O 0.257 0.992 0.821
O2 O 0.265 0.796 0.265
O3 O 0.544 0.565 0.324
O4 O 0.565 0.544 0.824
O5 O 0.796 0.265 0.765
O6 O 0.992 0.257 0.321
```

The 10 most intense peaks (10° ≤ 2θ ≤ 90°), sorted by position:
| d (Å) | intensity |
| --- | --- |
| 4.493 | 20 |
| 4.007 | 27 |
| 3.169 | 72 |
| 2.895 | 100 |
| 2.666 | 59 |
| 2.494 | 35 |
| 2.473 | 19 |
| 2.363 | 74 |
| 1.966 | 31 |
| 1.621 | 34 |

=====

Starting from a crystal structure in OQMD, relaxed with PBE, the powder diffractogram of ErLuScFeSi3 was computed for λ = 1.5418 Å (Cu Kα).
Intensities are scaled so that the largest is 100.

Atomic structure:
```
data_ErLuScFeSi3
_chemical_formula_sum 'Er2 Lu2 Sc2 Fe2 Si6'
_symmetry_space_group_name_H-M 'P 1'
_symmetry_Int_Tables_number 1
_symmetry_space_group_name_Hall 'P 1'
_cell_length_a 5.463
_cell_length_b 5.463
_cell_length_c 13.100
_cell_angle_alpha 109.04
_cell_angle_beta 109.04
_cell_angle_gamma 43.70
loop_
_atom_site_label
_atom_site_type_symbol
_atom_site_fract_x
_atom_site_fract_y
_atom_site_fract_z
Er1 Er 0.248 0.248 0.275
Er2 Er 0.752 0.752 0.725
Lu1 Lu 0.475 0.475 0.122
Lu2 Lu 0.525 0.525 0.878
Sc1 Sc 0.404 0.404 0.579
Sc2 Sc 0.596 0.596 0.421
Fe1 Fe 0.247 0.247 0.914
Fe2 Fe 0.753 0.753 0.086
Si1 Si 0.053 0.053 0.737
Si2 Si 0.118 0.118 0.570
Si3 Si 0.141 0.141 0.044
Si4 Si 0.859 0.859 0.956
Si5 Si 0.882 0.882 0.430
Si6 Si 0.947 0.947 0.263
```

The 10 most intense peaks (10° ≤ 2θ ≤ 90°), sorted by position:
| d (Å) | intensity |
| --- | --- |
| 3.738 | 27 |
| 3.445 | 57 |
| 3.124 | 28 |
| 2.588 | 100 |
| 2.577 | 26 |
| 2.550 | 56 |
| 2.534 | 25 |
| 2.455 | 66 |
| 2.117 | 39 |
| 2.033 | 38 |

=====

Starting from a crystal structure in OQMD, relaxed with PBE, the powder diffractogram of HgPd was computed for λ = 1.5418 Å (Cu Kα).
Intensities are scaled so that the largest is 100.

Atomic structure:
```
data_HgPd
_chemical_formula_sum 'Hg1 Pd1'
_symmetry_space_group_name_H-M 'P 1'
_symmetry_Int_Tables_number 1
_symmetry_space_group_name_Hall 'P 1'
_cell_length_a 3.081
_cell_length_b 3.081
_cell_length_c 3.788
_cell_angle_alpha 90.00
_cell_angle_beta 90.00
_cell_angle_gamma 90.00
loop_
_atom_site_label
_atom_site_type_symbol
_atom_site_fract_x
_atom_site_fract_y
_atom_site_fract_z
Hg1 Hg 0.000 0.000 0.000
Pd1 Pd 0.500 0.500 0.500
```

The 10 most intense peaks (10° ≤ 2θ ≤ 90°), sorted by position:
| d (Å) | intensity |
| --- | --- |
| 3.788 | 7 |
| 3.081 | 9 |
| 2.390 | 100 |
| 2.179 | 38 |
| 1.894 | 13 |
| 1.540 | 13 |
| 1.429 | 20 |
| 1.295 | 29 |
| 1.195 | 11 |
| 1.168 | 11 |

=====

Starting from a crystal structure in OQMD, relaxed with PBE, the powder diffractogram of Na6Nb8P5O35 was computed for λ = 1.5418 Å (Cu Kα).
Intensities are scaled so that the largest is 100.

Atomic structure:
```
data_Na6Nb8P5O35
_chemical_formula_sum 'Na6 Nb8 P5 O35'
_symmetry_space_group_name_H-M 'P 1'
_symmetry_Int_Tables_number 1
_symmetry_space_group_name_Hall 'P 1'
_cell_length_a 11.272
_cell_length_b 11.272
_cell_length_c 11.272
_cell_angle_alpha 46.61
_cell_angle_beta 46.61
_cell_angle_gamma 46.61
loop_
_atom_site_label
_atom_site_type_symbol
_atom_site_fract_x
_atom_site_fract_y
_atom_site_fract_z
Na1 Na 0.000 0.582 0.418
Na2 Na 0.285 0.715 0.500
Na3 Na 0.418 0.000 0.582
Na4 Na 0.500 0.285 0.715
Na5 Na 0.582 0.418 0.000
Na6 Na 0.715 0.500 0.285
Nb1 Nb 0.075 0.297 0.819
Nb2 Nb 0.181 0.703 0.925
Nb3 Nb 0.237 0.237 0.237
Nb4 Nb 0.297 0.819 0.075
Nb5 Nb 0.703 0.925 0.181
Nb6 Nb 0.763 0.763 0.763
Nb7 Nb 0.819 0.075 0.297
Nb8 Nb 0.925 0.181 0.703
P1 P 0.062 0.500 0.938
P2 P 0.403 0.403 0.403
P3 P 0.500 0.938 0.062
P4 P 0.597 0.597 0.597
P5 P 0.938 0.062 0.500
O1 O 0.000 0.223 0.777
O2 O 0.048 0.392 0.131
O3 O 0.055 0.898 0.259
O4 O 0.068 0.300 0.438
O5 O 0.102 0.945 0.741
O6 O 0.131 0.048 0.392
O7 O 0.161 0.618 0.824
O8 O 0.176 0.382 0.839
O9 O 0.223 0.777 0.000
O10 O 0.259 0.055 0.898
O11 O 0.281 0.300 0.566
O12 O 0.300 0.438 0.068
O13 O 0.300 0.566 0.281
O14 O 0.382 0.839 0.176
O15 O 0.392 0.131 0.048
O16 O 0.434 0.700 0.719
O17 O 0.438 0.068 0.300
O18 O 0.453 0.453 0.453
O19 O 0.547 0.547 0.547
O20 O 0.562 0.700 0.932
O21 O 0.566 0.281 0.300
O22 O 0.608 0.952 0.869
O23 O 0.618 0.824 0.161
O24 O 0.700 0.719 0.434
O25 O 0.700 0.932 0.562
O26 O 0.719 0.434 0.700
O27 O 0.741 0.102 0.945
O28 O 0.777 0.000 0.223
O29 O 0.824 0.161 0.618
O30 O 0.839 0.176 0.382
O31 O 0.869 0.608 0.952
O32 O 0.898 0.259 0.055
O33 O 0.932 0.562 0.700
O34 O 0.945 0.741 0.102
O35 O 0.952 0.869 0.608
```

The 10 most intense peaks (10° ≤ 2θ ≤ 90°), sorted by position:
| d (Å) | intensity |
| --- | --- |
| 7.481 | 43 |
| 5.014 | 51 |
| 4.459 | 88 |
| 3.830 | 34 |
| 3.750 | 54 |
| 3.435 | 34 |
| 3.336 | 100 |
| 2.906 | 94 |
| 2.866 | 47 |
| 2.675 | 43 |

=====

Starting from a crystal structure in OQMD, relaxed with PBE, the powder diffractogram of ZnH20PtC4N4O12 was computed for λ = 1.5418 Å (Cu Kα).
Intensities are scaled so that the largest is 100.

Atomic structure:
```
data_ZnH20PtC4N4O12
_chemical_formula_sum 'Zn1 H20 Pt1 C4 N4 O12'
_symmetry_space_group_name_H-M 'P 1'
_symmetry_Int_Tables_number 1
_symmetry_space_group_name_Hall 'P 1'
_cell_length_a 8.971
_cell_length_b 8.971
_cell_length_c 8.971
_cell_angle_alpha 134.58
_cell_angle_beta 134.52
_cell_angle_gamma 66.23
loop_
_atom_site_label
_atom_site_type_symbol
_atom_site_fract_x
_atom_site_fract_y
_atom_site_fract_z
Zn1 Zn 0.000 0.000 0.000
H1 H 0.055 0.691 0.634
H2 H 0.057 0.421 0.366
H3 H 0.071 0.687 0.386
H4 H 0.285 0.109 0.579
H5 H 0.291 0.709 0.187
H6 H 0.301 0.685 0.614
H7 H 0.341 0.193 0.850
H8 H 0.343 0.491 0.150
H9 H 0.470 0.891 0.176
H10 H 0.477 0.291 0.582
H11 H 0.523 0.105 0.813
H12 H 0.530 0.705 0.421
H13 H 0.657 0.807 0.148
H14 H 0.659 0.509 0.852
H15 H 0.699 0.313 0.384
H16 H 0.709 0.895 0.418
H17 H 0.715 0.295 0.824
H18 H 0.929 0.315 0.616
H19 H 0.943 0.309 0.364
H20 H 0.945 0.579 0.636
Pt1 Pt 0.500 0.500 0.000
C1 C 0.071 0.184 0.888
C2 C 0.295 0.183 0.112
C3 C 0.705 0.816 0.887
C4 C 0.929 0.817 0.113
N1 N 0.402 0.193 0.787
N2 N 0.406 0.615 0.213
N3 N 0.594 0.807 0.209
N4 N 0.598 0.385 0.791
O1 O 0.000 0.287 0.287
O2 O 0.000 0.713 0.713
O3 O 0.067 0.262 0.813
O4 O 0.089 0.891 0.196
O5 O 0.146 0.646 0.500
O6 O 0.305 0.109 0.198
O7 O 0.449 0.255 0.187
O8 O 0.551 0.738 0.806
O9 O 0.695 0.893 0.804
O10 O 0.854 0.354 0.500
O11 O 0.911 0.107 0.802
O12 O 0.933 0.745 0.194
```

The 10 most intense peaks (10° ≤ 2θ ≤ 90°), sorted by position:
| d (Å) | intensity |
| --- | --- |
| 7.514 | 65 |
| 4.901 | 100 |
| 4.105 | 64 |
| 3.465 | 56 |
| 3.148 | 46 |
| 3.037 | 27 |
| 2.982 | 45 |
| 2.635 | 27 |
| 2.104 | 38 |
| 1.893 | 29 |

=====

Starting from a crystal structure in OQMD, relaxed with PBE, the powder diffractogram of Ga2Ag2Te3Se was computed for λ = 1.5418 Å (Cu Kα).
Intensities are scaled so that the largest is 100.

Atomic structure:
```
data_Ga2Ag2Te3Se
_chemical_formula_sum 'Ga2 Ag2 Te3 Se1'
_symmetry_space_group_name_H-M 'P 1'
_symmetry_Int_Tables_number 1
_symmetry_space_group_name_Hall 'P 1'
_cell_length_a 7.458
_cell_length_b 7.458
_cell_length_c 6.298
_cell_angle_alpha 114.16
_cell_angle_beta 114.16
_cell_angle_gamma 50.49
loop_
_atom_site_label
_atom_site_type_symbol
_atom_site_fract_x
_atom_site_fract_y
_atom_site_fract_z
Ga1 Ga 0.121 0.121 0.383
Ga2 Ga 0.879 0.879 0.617
Ag1 Ag 0.359 0.401 0.138
Ag2 Ag 0.599 0.641 0.862
Te1 Te 0.492 0.009 0.266
Te2 Te 0.764 0.236 0.000
Te3 Te 0.991 0.508 0.734
Se1 Se 0.216 0.784 0.500
```

The 10 most intense peaks (10° ≤ 2θ ≤ 90°), sorted by position:
| d (Å) | intensity |
| --- | --- |
| 3.610 | 96 |
| 3.571 | 100 |
| 2.238 | 52 |
| 2.193 | 25 |
| 2.185 | 48 |
| 2.158 | 24 |
| 1.909 | 17 |
| 1.902 | 30 |
| 1.884 | 15 |
| 1.838 | 15 |

=====

Starting from a crystal structure in OQMD, relaxed with PBE, the powder diffractogram of ZrI2Br2 was computed for λ = 1.5418 Å (Cu Kα).
Intensities are scaled so that the largest is 100.

Atomic structure:
```
data_ZrI2Br2
_chemical_formula_sum 'Zr2 I4 Br4'
_symmetry_space_group_name_H-M 'P 1'
_symmetry_Int_Tables_number 1
_symmetry_space_group_name_Hall 'P 1'
_cell_length_a 7.371
_cell_length_b 8.183
_cell_length_c 7.133
_cell_angle_alpha 90.00
_cell_angle_beta 109.76
_cell_angle_gamma 90.00
loop_
_atom_site_label
_atom_site_type_symbol
_atom_site_fract_x
_atom_site_fract_y
_atom_site_fract_z
Zr1 Zr 0.000 0.168 0.250
Zr2 Zr 0.000 0.832 0.750
I1 I 0.232 0.116 0.999
I2 I 0.232 0.884 0.499
I3 I 0.768 0.116 0.501
I4 I 0.768 0.884 0.001
Br1 Br 0.241 0.363 0.469
Br2 Br 0.241 0.637 0.969
Br3 Br 0.759 0.363 0.031
Br4 Br 0.759 0.637 0.531
```

The 10 most intense peaks (10° ≤ 2θ ≤ 90°), sorted by position:
| d (Å) | intensity |
| --- | --- |
| 8.183 | 39 |
| 6.937 | 30 |
| 5.190 | 20 |
| 3.468 | 33 |
| 3.364 | 96 |
| 2.964 | 55 |
| 2.921 | 100 |
| 2.106 | 38 |
| 2.085 | 19 |
| 2.056 | 34 |